No. 1
Diffraction record for LiVP4O12. The X-ray powder pattern is calculated, not measured: it uses a cell relaxed with GGA+U and copper Kα.
Peak positions follow from Bragg's law for the DFT cell and can differ from measured ones.

Top 10 peaks for 2θ from 10° to 90°, low angle first:
d [Å]	I (rel.)
6.596	22.0
6.229	31.0
4.668	36.3
4.614	42.0
3.597	38.6
3.298	30.5
3.252	33.0
3.050	100.0
2.890	21.5
2.643	18.6

Cell and atoms:
Cell lengths 7.3223, 7.3223, 9.9875 Å; angles 112.52, 112.52, 70.40 degrees
Fractional positions:
Li 0.0324 0.9676 0.7500
Li 0.9676 0.0324 0.2500
V 0.0000 0.5000 0.5000
V 0.5000 0.0000 0.0000
P 0.2598 0.7289 0.0282
P 0.2711 0.7402 0.4718
P 0.3031 0.3174 0.8036
P 0.3174 0.3031 0.3036
P 0.6826 0.6969 0.6964
P 0.6969 0.6826 0.1964
P 0.7289 0.2598 0.5282
P 0.7402 0.2711 0.9718
O 0.0919 0.8469 0.0932
O 0.1275 0.2970 0.3274
O 0.1531 0.9081 0.4068
O 0.1914 0.6844 0.5692
O 0.1924 0.3460 0.6500
O 0.2187 0.5056 0.9302
O 0.2970 0.1275 0.8274
O 0.3156 0.8086 0.9308
O 0.3252 0.5335 0.3395
O 0.3460 0.1924 0.1500
O 0.4665 0.6748 0.1605
O 0.4944 0.7813 0.5698
O 0.5056 0.2187 0.4302
O 0.5335 0.3252 0.8395
O 0.6540 0.8076 0.8500
O 0.6748 0.4665 0.6605
O 0.6844 0.1914 0.0692
O 0.7030 0.8725 0.1726
O 0.7813 0.4944 0.0698
O 0.8076 0.6540 0.3500
O 0.8086 0.3156 0.4308
O 0.8469 0.0919 0.5932
O 0.8725 0.7030 0.6726
O 0.9081 0.1531 0.9068

No. 2
Diffraction record for LiVP2O7. The X-ray powder pattern is calculated, not measured: it uses a cell relaxed with GGA+U and copper Kα.
Peak positions follow from Bragg's law for the DFT cell and can differ from measured ones.

Top 10 peaks for 2θ from 10° to 90°, low angle first:
d [Å]	I (rel.)
6.504	20.1
4.390	100.0
4.304	95.4
4.220	91.4
3.408	42.6
3.282	27.8
3.246	50.0
3.049	23.5
2.518	15.7
2.175	14.0

Cell and atoms:
Cell lengths 5.2614, 8.7794, 6.9285 Å; angles 90.00, 110.17, 90.00 degrees
Fractional positions:
Li 0.1516 0.0000 0.2565
Li 0.8484 0.5000 0.7435
V 0.2106 0.3782 0.1701
V 0.7894 0.8782 0.8299
P 0.2031 0.3090 0.5406
P 0.3740 0.7247 0.0465
P 0.6260 0.2247 0.9535
P 0.7969 0.8090 0.4594
O 0.0114 0.8421 0.3713
O 0.1362 0.2014 0.3534
O 0.1758 0.8622 0.0066
O 0.2309 0.5706 0.0135
O 0.3150 0.4508 0.4543
O 0.4347 0.2387 0.0764
O 0.4594 0.2296 0.7131
O 0.5406 0.7296 0.2869
O 0.5653 0.7387 0.9236
O 0.6850 0.9508 0.5457
O 0.7691 0.0706 0.9865
O 0.8242 0.3622 0.9934
O 0.8638 0.7014 0.6466
O 0.9886 0.3421 0.6287